# 1
Structure and simulated XRD peak list of Bi2IO7 (a crystal structure in Alexandria, relaxed with PBE; Cu Kα).

Largest 6 diffraction maxima, by intensity, 15° ≤ 2θ ≤ 90°:
| 2theta | I_rel |
| --- | --- |
| 24.6 | 1000 |
| 31.2 | 647 |
| 40.1 | 447 |
| 29.0 | 441 |
| 25.7 | 403 |
| 18.4 | 383 |

Cell: 7.272 7.272 9.674 Å, 127.63 127.63 50.01°
Element x y z (fractional)
Bi 0.174 0.197 0.042
Bi 0.197 0.174 0.542
Bi 0.803 0.826 0.458
Bi 0.826 0.803 0.958
I 0.461 0.539 0.750
I 0.539 0.461 0.250
O 0.133 0.867 0.750
O 0.151 0.610 0.187
O 0.223 0.421 0.491
O 0.282 0.535 0.834
O 0.390 0.849 0.313
O 0.421 0.223 0.991
O 0.465 0.718 0.666
O 0.535 0.282 0.334
O 0.579 0.777 0.009
O 0.610 0.151 0.687
O 0.718 0.465 0.166
O 0.777 0.579 0.509
O 0.849 0.390 0.813
O 0.867 0.133 0.250


# 2
Structure and simulated XRD peak list of CeSmPt (a crystal structure in Alexandria, relaxed with PBE; Cu Kα).

Largest 6 diffraction maxima, by intensity, 15° ≤ 2θ ≤ 90°:
| 2theta | I_rel |
| --- | --- |
| 33.5 | 1000 |
| 30.3 | 859 |
| 38.2 | 564 |
| 33.2 | 493 |
| 30.6 | 319 |
| 41.8 | 295 |

Cell: 8.914 8.914 8.914 Å, 116.10 84.83 130.55°
Element x y z (fractional)
Ce 0.000 0.000 0.000
Ce 0.000 0.500 0.500
Ce 0.502 0.152 0.388
Ce 0.502 0.615 0.850
Ce 0.764 0.115 0.612
Ce 0.764 0.652 0.150
Sm 0.161 0.213 0.449
Sm 0.190 0.724 0.966
Sm 0.335 0.592 0.243
Sm 0.349 0.092 0.757
Sm 0.758 0.224 0.034
Sm 0.764 0.713 0.551
Pt 0.095 0.263 0.843
Pt 0.095 0.752 0.332
Pt 0.420 0.252 0.157
Pt 0.420 0.763 0.668
Pt 0.712 0.994 0.218
Pt 0.776 0.494 0.782


# 3
Structure and simulated XRD peak list of K9Rb6Au (a crystal structure in Alexandria, relaxed with PBE; Cu Kα).

Largest 6 diffraction maxima, by intensity, 15° ≤ 2θ ≤ 90°:
| 2theta | I_rel |
| --- | --- |
| 22.6 | 1000 |
| 26.2 | 830 |
| 37.3 | 725 |
| 26.1 | 401 |
| 46.2 | 332 |
| 37.4 | 312 |

Cell: 12.760 12.760 12.760 Å, 130.18 130.18 73.12°
Element x y z (fractional)
K 0.000 0.000 0.000
K 0.076 0.871 0.607
K 0.129 0.737 0.205
K 0.263 0.468 0.393
K 0.468 0.076 0.205
K 0.532 0.924 0.795
K 0.737 0.532 0.607
K 0.871 0.263 0.795
K 0.924 0.129 0.393
Rb 0.198 0.608 0.806
Rb 0.332 0.332 0.000
Rb 0.392 0.198 0.590
Rb 0.608 0.802 0.410
Rb 0.668 0.668 0.000
Rb 0.802 0.392 0.194
Au 0.500 0.500 0.000


# 4
Structure and simulated XRD peak list of PmC2 (a crystal structure in Alexandria, relaxed with PBE; Cu Kα).

Largest 6 diffraction maxima, by intensity, 15° ≤ 2θ ≤ 90°:
| 2theta | I_rel |
| --- | --- |
| 30.2 | 1000 |
| 26.7 | 865 |
| 26.5 | 498 |
| 44.6 | 483 |
| 33.4 | 473 |
| 28.2 | 424 |

Cell: 6.566 4.262 6.956 Å, 90.00 105.08 90.00°
Element x y z (fractional)
Pm 0.000 0.194 0.250
Pm 0.000 0.806 0.750
Pm 0.500 0.306 0.750
Pm 0.500 0.694 0.250
C 0.204 0.368 0.948
C 0.204 0.632 0.448
C 0.296 0.132 0.052
C 0.296 0.868 0.552
C 0.704 0.132 0.448
C 0.704 0.868 0.948
C 0.796 0.368 0.552
C 0.796 0.632 0.052


# 5
Structure and simulated XRD peak list of MnHSe2 (a crystal structure in Alexandria, relaxed with PBE; Cu Kα).

Largest 6 diffraction maxima, by intensity, 15° ≤ 2θ ≤ 90°:
| 2theta | I_rel |
| --- | --- |
| 34.5 | 1000 |
| 27.8 | 731 |
| 28.5 | 479 |
| 43.8 | 362 |
| 26.6 | 271 |
| 50.9 | 177 |

Cell: 3.590 6.550 7.681 Å, 87.27 89.87 74.29°
Element x y z (fractional)
Mn 0.234 0.029 0.184
Mn 0.766 0.971 0.816
H 0.460 0.576 0.735
H 0.540 0.424 0.265
Se 0.138 0.229 0.883
Se 0.356 0.790 0.643
Se 0.644 0.210 0.357
Se 0.862 0.771 0.117


# 6
Structure and simulated XRD peak list of Al2SnSe4 (a crystal structure in Alexandria, relaxed with PBE; Cu Kα).

Largest 6 diffraction maxima, by intensity, 15° ≤ 2θ ≤ 90°:
| 2theta | I_rel |
| --- | --- |
| 29.7 | 1000 |
| 37.1 | 925 |
| 33.0 | 458 |
| 51.2 | 449 |
| 16.4 | 334 |
| 23.2 | 197 |

Cell: 6.258 6.258 10.862 Å, 90.00 90.00 119.97°
Element x y z (fractional)
Al 0.238 0.759 0.000
Al 0.241 0.762 0.500
Al 0.759 0.238 0.500
Al 0.762 0.241 0.000
Sn 0.500 0.500 0.250
Sn 0.500 0.500 0.750
Se 0.000 0.500 0.171
Se 0.000 0.500 0.829
Se 0.188 0.348 0.500
Se 0.348 0.188 0.000
Se 0.500 0.000 0.329
Se 0.500 0.000 0.671
Se 0.652 0.812 0.000
Se 0.812 0.652 0.500